# ZnCu2O4
Calculated powder diffraction line list, Cu Kα (weighted mean of Kα1 and Kα2). Input: the GGA-PBE geometry in the Materials Project.
Peak positions follow from Bragg's law for the DFT cell and can differ from measured ones.

Principal peaks in the range 2θ from 15° to 90°, in order of falling intensity:
two_theta  d_spacing  I_rel
35.42  2.534  100
56.93  1.618  35
30.07  2.971  29
62.47  1.487  21
62.57  1.485  21
43.05  2.101  17

```
data_ZnCu2O4
_chemical_formula_sum 'Zn6 Cu12 O24'
_cell_length_a 5.9471
_cell_length_b 5.9471
_cell_length_c 14.5351
_cell_angle_alpha 90.00
_cell_angle_beta 90.00
_cell_angle_gamma 120.00
_symmetry_space_group_name_H-M 'P 3 m 1'
_symmetry_Int_Tables_number 156
loop_
_symmetry_equiv_pos_as_xyz
'x,y,z'
'-y,x-y,z'
'-x+y,-x,z'
'-y,-x,z'
'-x+y,y,z'
'x,x-y,z'
loop_
_atom_site_label
_atom_site_fract_x
_atom_site_fract_y
_atom_site_fract_z
Zn1 0.0000 0.0000 0.0000
Zn2 0.0000 0.0000 0.2442
Zn3 0.3333 0.6667 0.5793
Zn4 0.6667 0.3333 0.2894
Zn5 0.6667 0.3333 0.6641
Zn6 0.6667 0.3333 0.9133
Cu1 0.0000 0.0000 0.6234
Cu2 0.0000 0.5000 0.1226
Cu3 0.1666 0.3332 0.7893
Cu4 0.3329 0.1665 0.4556
Cu5 0.3333 0.6667 0.3327
Cu6 0.3333 0.6667 0.9544
O1 0.0000 0.0000 0.3813
O2 0.0000 0.0000 0.8630
O3 0.0292 0.5146 0.8690
O4 0.1508 0.3015 0.5349
O5 0.1840 0.3680 0.0446
O6 0.3044 0.1522 0.7096
O7 0.3333 0.6667 0.2008
O8 0.3333 0.6667 0.7164
O9 0.3583 0.1791 0.1968
O10 0.5096 0.0192 0.3811
O11 0.6667 0.3333 0.0482
O12 0.6667 0.3333 0.5276
```

***

# ZnCu2O4
Calculated powder diffraction line list, Cu Kα (weighted mean of Kα1 and Kα2). Input: the GGA-PBE geometry in the Materials Project.
Peak positions follow from Bragg's law for the DFT cell and can differ from measured ones.

Principal peaks in the range 2θ from 15° to 90°, in order of falling intensity:
two_theta  d_spacing  I_rel
51.20  1.784  100
35.55  2.525  93
17.54  5.055  65
40.03  2.252  61
35.68  2.516  61
24.98  3.564  48

```
data_ZnCu2O4
_chemical_formula_sum 'Zn4 Cu8 O16'
_cell_length_a 5.805
_cell_length_b 10.112
_cell_length_c 5.046
_cell_angle_alpha 90.00
_cell_angle_beta 90.00
_cell_angle_gamma 90.00
_symmetry_space_group_name_H-M 'P m m n'
_symmetry_Int_Tables_number 59
loop_
_symmetry_equiv_pos_as_xyz
'x,y,z'
'-x,-y,-z'
'-x+1/2,-y+1/2,z'
'x+1/2,y+1/2,-z'
'x+1/2,-y,-z'
'-x+1/2,y,z'
'-x,y+1/2,-z'
'x,-y+1/2,z'
loop_
_atom_site_label
_atom_site_fract_x
_atom_site_fract_y
_atom_site_fract_z
Zn1 0.250 0.250 0.019
Zn2 0.250 0.750 0.345
Cu1 0.000 0.000 0.500
Cu2 0.250 0.517 0.985
O1 0.001 0.117 0.835
O2 0.250 0.097 0.300
O3 0.250 0.604 0.637
```

***

# ZnCuO2
Calculated powder diffraction line list, Cu Kα (weighted mean of Kα1 and Kα2). Input: the GGA-PBE geometry in the Materials Project.
Peak positions follow from Bragg's law for the DFT cell and can differ from measured ones.

Principal peaks in the range 2θ from 15° to 90°, in order of falling intensity:
two_theta  d_spacing  I_rel
33.42  2.681  100
34.64  2.590  65
36.00  2.495  39
37.58  2.393  35
35.69  2.516  33
46.52  1.952  20

```
data_ZnCuO2
_chemical_formula_sum 'Zn4 Cu4 O8'
_cell_length_a 3.215
_cell_length_b 7.832
_cell_length_c 8.147
_cell_angle_alpha 101.77
_cell_angle_beta 95.76
_cell_angle_gamma 101.02
_symmetry_space_group_name_H-M 'P 1'
_symmetry_Int_Tables_number 1
loop_
_symmetry_equiv_pos_as_xyz
'x,y,z'
loop_
_atom_site_label
_atom_site_fract_x
_atom_site_fract_y
_atom_site_fract_z
Zn1 0.000 0.000 0.000
Zn2 0.150 0.261 0.386
Zn3 0.476 0.886 0.321
Zn4 0.640 0.341 0.037
Cu1 0.241 0.964 0.670
Cu2 0.497 0.639 0.865
Cu3 0.678 0.626 0.531
Cu4 0.907 0.287 0.697
O1 0.139 0.278 0.154
O2 0.205 0.167 0.835
O3 0.260 0.760 0.501
O4 0.416 0.873 0.860
O5 0.730 0.387 0.514
O6 0.892 0.489 0.882
O7 0.934 0.079 0.520
O8 0.941 0.886 0.189
```

***

# ZnCuO2
Calculated powder diffraction line list, Cu Kα (weighted mean of Kα1 and Kα2). Input: the GGA-PBE geometry in the Materials Project.
Peak positions follow from Bragg's law for the DFT cell and can differ from measured ones.

Principal peaks in the range 2θ from 15° to 90°, in order of falling intensity:
two_theta  d_spacing  I_rel
30.89  2.895  100
35.42  2.535  90
22.01  4.039  59
35.54  2.526  54
40.95  2.204  53
48.47  1.878  46

```
data_ZnCuO2
_chemical_formula_sum 'Zn4 Cu4 O8'
_cell_length_a 2.945
_cell_length_b 8.099
_cell_length_c 8.185
_cell_angle_alpha 90.92
_cell_angle_beta 99.20
_cell_angle_gamma 93.60
_symmetry_space_group_name_H-M 'P 1'
_symmetry_Int_Tables_number 1
loop_
_symmetry_equiv_pos_as_xyz
'x,y,z'
loop_
_atom_site_label
_atom_site_fract_x
_atom_site_fract_y
_atom_site_fract_z
Zn1 0.000 0.000 0.000
Zn2 0.175 0.801 0.664
Zn3 0.521 0.371 0.887
Zn4 0.726 0.169 0.549
Cu1 0.097 0.493 0.520
Cu2 0.164 0.279 0.210
Cu3 0.547 0.890 0.338
Cu4 0.572 0.677 0.037
O1 0.079 0.507 0.992
O2 0.132 0.980 0.489
O3 0.310 0.295 0.663
O4 0.418 0.873 0.886
O5 0.580 0.188 0.061
O6 0.621 0.658 0.563
O7 0.742 0.337 0.358
O8 0.971 0.831 0.189
```

***

# ZnCu2O4
Calculated powder diffraction line list, Cu Kα (weighted mean of Kα1 and Kα2). Input: the GGA-PBE geometry in the Materials Project.
Peak positions follow from Bragg's law for the DFT cell and can differ from measured ones.

Principal peaks in the range 2θ from 15° to 90°, in order of falling intensity:
two_theta  d_spacing  I_rel
30.19  2.960  100
16.71  5.306  97
33.79  2.653  80
33.39  2.683  59
30.34  2.946  55
38.87  2.317  51

```
data_ZnCu2O4
_chemical_formula_sum 'Zn2 Cu4 O8'
_cell_length_a 3.229
_cell_length_b 7.061
_cell_length_c 7.153
_cell_angle_alpha 97.36
_cell_angle_beta 101.19
_cell_angle_gamma 91.81
_symmetry_space_group_name_H-M 'P -1'
_symmetry_Int_Tables_number 2
loop_
_symmetry_equiv_pos_as_xyz
'x,y,z'
'-x,-y,-z'
loop_
_atom_site_label
_atom_site_fract_x
_atom_site_fract_y
_atom_site_fract_z
Zn1 0.183 0.326 0.174
Cu1 0.142 0.687 0.467
Cu2 0.458 0.967 0.193
O1 0.054 0.810 0.256
O2 0.201 0.528 0.672
O3 0.377 0.826 0.945
O4 0.407 0.157 0.392
```

***

# Zn2Cu2O5
Calculated powder diffraction line list, Cu Kα (weighted mean of Kα1 and Kα2). Input: the GGA-PBE geometry in the Materials Project.
Peak positions follow from Bragg's law for the DFT cell and can differ from measured ones.

Principal peaks in the range 2θ from 15° to 90°, in order of falling intensity:
two_theta  d_spacing  I_rel
35.01  2.563  100
33.81  2.651  24
49.51  1.841  17
62.86  1.478  15
51.08  1.788  15
73.88  1.283  12

```
data_Zn2Cu2O5
_chemical_formula_sum 'Zn4 Cu4 O10'
_cell_length_a 5.117
_cell_length_b 10.605
_cell_length_c 3.576
_cell_angle_alpha 90.00
_cell_angle_beta 90.00
_cell_angle_gamma 90.00
_symmetry_space_group_name_H-M 'P b a m'
_symmetry_Int_Tables_number 55
loop_
_symmetry_equiv_pos_as_xyz
'x,y,z'
'-x,-y,-z'
'-x,-y,z'
'x,y,-z'
'x+1/2,-y+1/2,-z'
'-x+1/2,y+1/2,z'
'-x+1/2,y+1/2,-z'
'x+1/2,-y+1/2,z'
loop_
_atom_site_label
_atom_site_fract_x
_atom_site_fract_y
_atom_site_fract_z
Zn1 0.249 0.094 0.000
Cu1 0.226 0.361 0.500
O1 0.000 0.000 0.500
O2 0.156 0.680 0.500
O3 0.185 0.403 0.000
```

***

# ZnCu2O4
Calculated powder diffraction line list, Cu Kα (weighted mean of Kα1 and Kα2). Input: the GGA-PBE geometry in the Materials Project.
Peak positions follow from Bragg's law for the DFT cell and can differ from measured ones.

Principal peaks in the range 2θ from 15° to 90°, in order of falling intensity:
two_theta  d_spacing  I_rel
34.63  2.590  100
36.55  2.458  35
63.08  1.474  32
55.34  1.660  26
30.33  2.947  25
36.90  2.436  19

```
data_ZnCu2O4
_chemical_formula_sum 'Zn4 Cu8 O16'
_cell_length_a 6.117
_cell_length_b 6.117
_cell_length_c 8.054
_cell_angle_alpha 90.00
_cell_angle_beta 90.00
_cell_angle_gamma 90.00
_symmetry_space_group_name_H-M 'I 41/a'
_symmetry_Int_Tables_number 88
loop_
_symmetry_equiv_pos_as_xyz
'x,y,z'
'-x,-y,-z'
'-y+3/4,x+1/4,z+1/4'
'y+3/4,-x+1/4,-z+1/4'
'-x+1/2,-y,z+1/2'
'x+1/2,y,-z+1/2'
'y+3/4,-x+3/4,z+3/4'
'-y+3/4,x+3/4,-z+3/4'
'x+1/2,y+1/2,z+1/2'
'-x+1/2,-y+1/2,-z+1/2'
'-y+1/4,x+3/4,z+3/4'
'y+1/4,-x+3/4,-z+3/4'
'-x,-y+1/2,z'
'x,y+1/2,-z'
'y+1/4,-x+1/4,z+1/4'
'-y+1/4,x+1/4,-z+1/4'
loop_
_atom_site_label
_atom_site_fract_x
_atom_site_fract_y
_atom_site_fract_z
Zn1 0.000 0.250 0.125
Cu1 0.000 0.000 0.500
O1 0.052 0.013 0.730
```

***

# ZnCu2O4
Calculated powder diffraction line list, Cu Kα (weighted mean of Kα1 and Kα2). Input: the GGA-PBE geometry in the Materials Project.
Peak positions follow from Bragg's law for the DFT cell and can differ from measured ones.

Principal peaks in the range 2θ from 15° to 90°, in order of falling intensity:
two_theta  d_spacing  I_rel
34.17  2.624  100
40.94  2.205  48
35.84  2.505  44
58.63  1.575  32
31.56  2.834  31
36.22  2.480  30

```
data_ZnCu2O4
_chemical_formula_sum 'Zn4 Cu8 O16'
_cell_length_a 3.121
_cell_length_b 9.920
_cell_length_c 9.276
_cell_angle_alpha 90.00
_cell_angle_beta 90.00
_cell_angle_gamma 90.00
_symmetry_space_group_name_H-M 'P b c m'
_symmetry_Int_Tables_number 57
loop_
_symmetry_equiv_pos_as_xyz
'x,y,z'
'-x,-y,-z'
'-x,-y,z+1/2'
'x,y,-z+1/2'
'x,-y+1/2,-z'
'-x,y+1/2,z'
'-x,y+1/2,-z+1/2'
'x,-y+1/2,z+1/2'
loop_
_atom_site_label
_atom_site_fract_x
_atom_site_fract_y
_atom_site_fract_z
Zn1 0.170 0.154 0.250
Cu1 0.329 0.614 0.569
O1 0.019 0.250 0.000
O2 0.320 0.702 0.750
O3 0.370 0.542 0.116
```

***

# ZnCuO2
Calculated powder diffraction line list, Cu Kα (weighted mean of Kα1 and Kα2). Input: the GGA-PBE geometry in the Materials Project.
Peak positions follow from Bragg's law for the DFT cell and can differ from measured ones.

Principal peaks in the range 2θ from 15° to 90°, in order of falling intensity:
two_theta  d_spacing  I_rel
35.31  2.542  100
34.98  2.565  53
50.13  1.820  43
29.86  2.992  42
32.37  2.765  40
50.86  1.795  29

```
data_ZnCuO2
_chemical_formula_sum 'Zn4 Cu4 O8'
_cell_length_a 2.894
_cell_length_b 8.352
_cell_length_c 8.426
_cell_angle_alpha 91.03
_cell_angle_beta 99.66
_cell_angle_gamma 99.86
_symmetry_space_group_name_H-M 'P -1'
_symmetry_Int_Tables_number 2
loop_
_symmetry_equiv_pos_as_xyz
'x,y,z'
'-x,-y,-z'
loop_
_atom_site_label
_atom_site_fract_x
_atom_site_fract_y
_atom_site_fract_z
Zn1 0.086 0.429 0.231
Zn2 0.296 0.214 0.881
Cu1 0.099 0.889 0.808
Cu2 0.318 0.689 0.445
O1 0.090 0.268 0.411
O2 0.300 0.389 0.721
O3 0.316 0.941 0.192
O4 0.454 0.283 0.111
```

***

# ZnCu2O4
Calculated powder diffraction line list, Cu Kα (weighted mean of Kα1 and Kα2). Input: the GGA-PBE geometry in the Materials Project.
Peak positions follow from Bragg's law for the DFT cell and can differ from measured ones.

Principal peaks in the range 2θ from 15° to 90°, in order of falling intensity:
two_theta  d_spacing  I_rel
35.59  2.523  100
62.83  1.479  42
57.21  1.610  34
30.21  2.958  29
43.26  2.092  17
37.23  2.415  12

```
data_ZnCu2O4
_chemical_formula_sum 'Zn6 Cu12 O24'
_cell_length_a 5.9196
_cell_length_b 5.9196
_cell_length_c 14.4733
_cell_angle_alpha 90.00
_cell_angle_beta 90.00
_cell_angle_gamma 120.00
_symmetry_space_group_name_H-M 'P 3 m 1'
_symmetry_Int_Tables_number 156
loop_
_symmetry_equiv_pos_as_xyz
'x,y,z'
'-y,x-y,z'
'-x+y,-x,z'
'-y,-x,z'
'-x+y,y,z'
'x,x-y,z'
loop_
_atom_site_label
_atom_site_fract_x
_atom_site_fract_y
_atom_site_fract_z
Zn1 0.0000 0.0000 0.0000
Zn2 0.0000 0.0000 0.2443
Zn3 0.0000 0.0000 0.6203
Zn4 0.3333 0.6667 0.3316
Zn5 0.3333 0.6667 0.9546
Zn6 0.6667 0.3333 0.6675
Cu1 0.9995 0.4998 0.1210
Cu2 0.1666 0.3331 0.7880
Cu3 0.3333 0.6667 0.5782
Cu4 0.3337 0.1669 0.4546
Cu5 0.6667 0.3333 0.2876
Cu6 0.6667 0.3333 0.9100
O1 0.0000 0.0000 0.3814
O2 0.0000 0.0000 0.8648
O3 0.0227 0.5114 0.8608
O4 0.1577 0.3155 0.5293
O5 0.1793 0.3587 0.0473
O6 0.3062 0.1531 0.7135
O7 0.3333 0.6667 0.1958
O8 0.3333 0.6667 0.7089
O9 0.3667 0.1833 0.1989
O10 0.5163 0.0327 0.3745
O11 0.6667 0.3333 0.0417
O12 0.6667 0.3333 0.5292
```